[1]
Simulated PXRD pattern of Rb3LaN6 for copper Kα, from a cell relaxed with GGA-PBE.

Top 10 peaks for 10 to 90 degrees two-theta, by angle:
- 15.14°, I 71.7
- 21.30°, I 24.8
- 24.00°, I 72.4
- 25.96°, I 100.0
- 35.64°, I 54.2
- 40.97°, I 28.9
- 44.62°, I 29.6
- 45.79°, I 26.7
- 49.14°, I 22.7
- 56.41°, I 21.7

```
20
Lattice="5.9457 3.4328 4.7432 -5.9457 3.4328 4.7432 0.0000 -6.8655 4.7432" Properties=species:S:1:pos:R:3 pbc="T T T"
Rb -3.9484 0.0267 5.9290
Rb -1.9973 -3.4061 8.3005
Rb 1.9511 -3.4328 5.9290
Rb -1.9511 3.4327 8.3005
Rb 1.9973 3.4061 5.9290
Rb 3.9484 -0.0267 8.3005
La 0.0000 0.0000 0.0000
La 0.0000 0.0000 7.1148
N -1.2437 -5.2325 6.0038
N -5.1533 -1.5392 8.2258
N -1.2437 -1.6330 5.8542
N -3.9097 3.6933 6.0037
N -2.0360 0.2606 8.3753
N -0.7924 1.8935 5.8542
N 0.7924 -1.8936 8.3753
N 2.0361 -0.2606 5.8542
N 3.9097 -3.6933 8.2258
N 1.2437 1.6330 8.3753
N 5.1533 1.5392 6.0038
N 1.2437 5.2325 8.2258
```

[2]
Simulated PXRD pattern of InPbCl3 for copper Kα, from a cell relaxed with GGA-PBE.

Top 10 peaks for 10 to 90 degrees two-theta, by angle:
- 21.01°, I 59.4
- 22.43°, I 100.0
- 23.22°, I 90.3
- 23.65°, I 50.3
- 31.84°, I 56.3
- 33.16°, I 29.5
- 37.17°, I 33.7
- 38.63°, I 31.0
- 40.86°, I 37.4
- 44.14°, I 33.9

```
20
Lattice="8.9576 0.0000 0.0000 0.0000 7.5226 0.0000 -1.1643 0.0000 10.2188" Properties=species:S:1:pos:R:3 pbc="T T T"
In 0.6901 1.7375 1.4815
In 0.1079 2.0238 6.5909
In 7.6854 5.4988 3.6279
In 7.1032 5.7851 8.7373
Pb 3.5847 5.5407 0.7929
Pb 3.0025 5.7432 5.9023
Pb 4.7908 1.7794 4.3165
Pb 4.2086 1.9819 9.4259
Cl 0.2407 5.0077 6.2004
Cl 0.8229 6.2762 1.0910
Cl 2.1218 0.5635 4.5391
Cl 1.5396 3.1978 9.6485
Cl 3.3464 4.2475 3.3623
Cl 2.7643 7.0364 8.4717
Cl 5.0290 0.4862 1.7471
Cl 4.4469 3.2751 6.8565
Cl 6.2537 4.3248 0.5703
Cl 5.6715 6.9591 5.6797
Cl 6.9704 1.2464 9.1278
Cl 7.5526 2.5149 4.0184
```

[3]
Simulated PXRD pattern of Pr2ZnCu9 for copper Kα, from a cell relaxed with GGA-PBE.

Top 10 peaks for 10 to 90 degrees two-theta, by angle:
- 31.98°, I 38.0
- 34.91°, I 94.4
- 40.71°, I 41.3
- 41.19°, I 100.0
- 43.11°, I 29.8
- 44.50°, I 64.7
- 48.07°, I 17.6
- 62.61°, I 28.5
- 66.88°, I 34.0
- 73.76°, I 27.5

```
12
Lattice="2.5691 1.4833 8.3985 -2.5691 1.4833 8.3985 0.0000 -2.9665 8.3985" Properties=species:S:1:pos:R:3 pbc="T T T"
Pr 0.0000 0.0000 3.3703
Pr 0.0000 0.0000 21.8253
Zn 0.0000 0.0000 0.0000
Cu -1.2836 -0.7411 10.3876
Cu 0.0000 0.0000 8.3816
Cu 0.0000 -1.4821 14.8081
Cu -1.2836 0.7411 14.8081
Cu 0.0000 0.0000 12.5978
Cu 1.2836 -0.7411 10.3876
Cu 0.0000 1.4821 10.3876
Cu 0.0000 0.0000 16.8140
Cu 1.2836 0.7411 14.8081
```

What did the first record say?
Simulated PXRD pattern of Rb3LaN6 for copper Kα, from a cell relaxed with GGA-PBE.

Top 10 peaks for 10 to 90 degrees two-theta, by angle:
- 15.14°, I 71.7
- 21.30°, I 24.8
- 24.00°, I 72.4
- 25.96°, I 100.0
- 35.64°, I 54.2
- 40.97°, I 28.9
- 44.62°, I 29.6
- 45.79°, I 26.7
- 49.14°, I 22.7
- 56.41°, I 21.7

```
20
Lattice="5.9457 3.4328 4.7432 -5.9457 3.4328 4.7432 0.0000 -6.8655 4.7432" Properties=species:S:1:pos:R:3 pbc="T T T"
Rb -3.9484 0.0267 5.9290
Rb -1.9973 -3.4061 8.3005
Rb 1.9511 -3.4328 5.9290
Rb -1.9511 3.4327 8.3005
Rb 1.9973 3.4061 5.9290
Rb 3.9484 -0.0267 8.3005
La 0.0000 0.0000 0.0000
La 0.0000 0.0000 7.1148
N -1.2437 -5.2325 6.0038
N -5.1533 -1.5392 8.2258
N -1.2437 -1.6330 5.8542
N -3.9097 3.6933 6.0037
N -2.0360 0.2606 8.3753
N -0.7924 1.8935 5.8542
N 0.7924 -1.8936 8.3753
N 2.0361 -0.2606 5.8542
N 3.9097 -3.6933 8.2258
N 1.2437 1.6330 8.3753
N 5.1533 1.5392 6.0038
N 1.2437 5.2325 8.2258
```